Entry 1:
YZn5Pd6: simulated powder X-ray diffraction pattern (Cu Kα), based on the PBE geometry in Alexandria.
Lines closer than 0.1° are merged.

Most intense lines, 2θ = 15–90°, in order of rising 2θ:
2θ/deg, intensity
39.58, 100
43.14, 20
43.49, 20
51.11, 11
62.92, 12
69.05, 8
69.31, 8
76.69, 13
77.19, 13
85.24, 9

Crystal structure
a = 4.1617 Å, b = 12.5827 Å, c = 7.1482 Å
α = 90.00°, β = 90.00°, γ = 90.00°
Space group Cmmm (No. 65)
Inequivalent atoms, fractional coordinates:
Y 0.0000 0.0000 0.0000 [2 per cell]
Zn 0.0000 0.0000 0.5000 [2 per cell]
Zn 0.0000 0.3228 0.0000 [4 per cell]
Zn 0.0000 0.3353 0.5000 [4 per cell]
Pd 0.0000 0.1708 0.2647 [8 per cell]
Pd 0.0000 0.5000 0.2700 [4 per cell]

Entry 2:
Ca3Mg2Zn9: simulated powder X-ray diffraction pattern (Cu Kα), based on the PBE geometry in Alexandria.
Lines closer than 0.1° are merged.

Most intense lines, 2θ = 15–90°, in order of rising 2θ:
2θ/deg, intensity
22.07, 26
32.81, 57
34.32, 100
35.97, 57
38.37, 63
39.37, 34
40.04, 69
44.89, 32
45.56, 43
52.70, 28

Crystal structure
a = 4.5036 Å, b = 9.0014 Å, c = 13.7306 Å
α = 90.00°, β = 90.00°, γ = 90.00°
Space group Immm (No. 71)
Inequivalent atoms, fractional coordinates:
Ca 0.0000 0.0000 0.0000 [2 per cell]
Ca 0.0000 0.0000 0.2894 [4 per cell]
Mg 0.0000 0.1886 0.5000 [4 per cell]
Zn 0.0000 0.2874 0.1367 [8 per cell]
Zn 0.0000 0.3557 0.3324 [8 per cell]
Zn 0.0000 0.5000 0.0000 [2 per cell]